Entry 1:
Calculated PXRD pattern of BaSrZn for Cu Kα (λ = 1.5418 Å), from the PBE geometry in OQMD.

Largest 10 diffraction maxima, sorted by position, 10 to 90 degrees two-theta:
hkl  two_theta  I/Imax
1 0 1  22.8  21
0 0 4  24.6  13
1 0 3  28.8  100
1 1 0  31.2  56
1 0 5  38.2  26
1 1 4  40.2  14
2 0 0  44.7  20
2 1 3  54.1  33
2 1 5  60.3  13
1 1 8  60.6  14

Structure:
Lattice parameters (Å, degrees): 4.053 4.053 14.460 90.00 90.00 90.00
Space group I4mm (No. 107)
Inequivalent atoms, fractional coordinates:
Ba: 0.000 0.000 0.000
Sr: 0.000 0.000 0.264
Zn: 0.000 0.000 0.641


Entry 2:
Calculated PXRD pattern of MgCoB4 for Cu Kα (λ = 1.5418 Å), from the PBE geometry in OQMD.

Largest 10 diffraction maxima, sorted by position, 10 to 90 degrees two-theta:
hkl  two_theta  I/Imax
1 1 0  17.2  98
1 2 0  22.1  73
0 0 1  28.4  58
2 1 0  31.9  59
0 4 0  32.1  39
2 3 0  39.4  62
2 1 1  43.2  100
0 4 1  43.4  77
1 4 1  46.3  61
2 3 1  49.3  97

Structure:
Lattice parameters (Å, degrees): 5.795 11.147 3.143 90.00 90.00 90.00
Space group Pbam (No. 55)
Inequivalent atoms, fractional coordinates:
Mg: 0.128 0.150 0.000
Co: 0.139 0.410 0.000
B: 0.020 0.694 0.500
B: 0.114 0.549 0.500
B: 0.136 0.971 0.500
B: 0.208 0.815 0.500


Entry 3:
Calculated PXRD pattern of DyY2Tm4Fe2Te2 for Cu Kα (λ = 1.5418 Å), from the PBE geometry in OQMD.

Largest 10 diffraction maxima, sorted by position, 10 to 90 degrees two-theta:
hkl  two_theta  I/Imax
1 0 1  24.9  13
0 5 1  30.1  14
1 1 2  30.7  28
0 3 3  33.9  100
0 6 0  34.3  17
1 3 2  34.8  44
1 0 3  37.4  12
0 0 4  39.1  13
2 0 0  46.8  21
2 3 3  59.0  18

Structure:
Lattice parameters (Å, degrees): 3.880 15.686 9.208 90.00 90.00 90.00
Space group Imm2 (No. 44)
Inequivalent atoms, fractional coordinates:
Dy: 0.000 0.000 0.000
Y: 0.000 0.349 0.260
Tm: 0.000 0.137 0.415
Tm: 0.000 0.315 0.623
Fe: 0.000 0.239 0.934
Te: 0.000 0.000 0.660
Te: 0.000 0.500 0.768


Entry 4:
Calculated PXRD pattern of CsNbS2O9 for Cu Kα (λ = 1.5418 Å), from the PBE geometry in OQMD.

Largest 10 diffraction maxima, sorted by position, 10 to 90 degrees two-theta:
hkl  two_theta  I/Imax
0 1 1  19.8  24
1 0 2  21.0  25
2 0 2  22.9  35
3 0 2  25.6  21
4 1 0  26.7  100
1 1 2  27.1  33
2 1 2  28.6  21
0 2 0  34.3  24
5 1 2  37.3  22
8 0 0  41.7  20

Structure:
Lattice parameters (Å, degrees): 17.322 5.227 8.714 90.00 90.00 90.00
Space group Pnma (No. 62)
Inequivalent atoms, fractional coordinates:
Cs: 0.069 0.250 0.151
Nb: 0.184 0.750 0.562
S: 0.064 0.250 0.635
S: 0.199 0.750 0.961
O: 0.011 0.250 0.764
O: 0.032 0.250 0.482
O: 0.116 0.750 0.963
O: 0.118 0.023 0.657
O: 0.152 0.750 0.374
O: 0.228 0.519 0.049
O: 0.236 0.750 0.809


Entry 5:
Calculated PXRD pattern of MgInPd6 for Cu Kα (λ = 1.5418 Å), from the PBE geometry in OQMD.

Largest 10 diffraction maxima, sorted by position, 10 to 90 degrees two-theta:
hkl  two_theta  I/Imax
0 0 2  11.4  5
1 0 1  22.6  4
1 1 4  39.1  100
2 0 0  44.6  34
0 0 8  46.9  15
2 2 0  65.0  11
2 0 8  66.8  20
3 1 4  78.5  25
1 1 12  81.8  11
2 2 8  83.9  10

Structure:
Lattice parameters (Å, degrees): 4.059 4.059 15.488 90.00 90.00 90.00
Space group I4mm (No. 107)
Inequivalent atoms, fractional coordinates:
Mg: 0.000 0.000 0.000
In: 0.000 0.000 0.248
Pd: 0.000 0.000 0.499
Pd: 0.000 0.000 0.750
Pd: 0.000 0.500 0.122
Pd: 0.000 0.500 0.377


Entry 6:
Calculated PXRD pattern of SmYBr2NCl for Cu Kα (λ = 1.5418 Å), from the PBE geometry in OQMD.

Largest 10 diffraction maxima, sorted by position, 10 to 90 degrees two-theta:
hkl  two_theta  I/Imax
2 0 -1  10.1  100
1 1 1  26.5  54
1 1 -2  27.9  24
4 0 -4  31.0  37
6 0 -1  31.6  37
1 1 2  32.3  61
5 1 -2  33.7  31
5 1 -3  35.5  27
3 1 -4  38.8  27
0 2 0  46.3  24

Structure:
Lattice parameters (Å, degrees): 18.137 3.921 11.584 90.00 124.86 90.00
Space group C2/m (No. 12)
Inequivalent atoms, fractional coordinates:
Sm: 0.076 0.000 0.455
Y: 0.137 0.500 0.785
Br: 0.167 0.000 0.009
Br: 0.221 0.500 0.620
N: 0.078 0.000 0.655
Cl: 0.031 0.500 0.254


Entry 7:
Calculated PXRD pattern of AlNi4AsPd for Cu Kα (λ = 1.5418 Å), from the PBE geometry in OQMD.

Largest 10 diffraction maxima, sorted by position, 10 to 90 degrees two-theta:
hkl  two_theta  I/Imax
1 0 0  24.1  33
1 0 2  36.8  22
1 1 1  37.0  11
1 1 2  44.4  100
2 0 0  49.3  40
0 0 4  56.5  9
2 1 2  63.0  9
2 2 0  72.2  12
2 0 4  78.2  13
3 1 2  88.9  25

Structure:
Lattice parameters (Å, degrees): 3.699 3.699 6.519 90.00 90.00 90.00
Space group P4/mmm (No. 123)
Inequivalent atoms, fractional coordinates:
Al: 0.000 0.000 0.000
Ni: 0.000 0.500 0.284
As: 0.500 0.500 0.500
Pd: 0.500 0.500 0.000